(1)
Rb4U3PdSe8: simulated X-ray diffraction stick pattern (Cu Kα), based on a DFT-relaxed cell (GGA-PBE, Alexandria).
No peak broadening, texture or thermal motion is included.

Crystal structure
```
Rb4U3PdSe8
1.0
7.266 -4.190 0.000
7.266 4.190 0.000
-4.844 0.000 8.025
Rb U Pd Se
4 3 1 8
direct
0.000 0.000 0.000
0.000 0.500 0.000
0.500 0.000 0.000
0.500 0.500 0.000
0.000 0.000 0.500
0.000 0.500 0.500
0.500 0.000 0.500
0.500 0.500 0.500
0.226 0.733 0.692
0.233 0.233 0.700
0.266 0.266 0.307
0.267 0.774 0.308
0.733 0.226 0.692
0.734 0.734 0.693
0.767 0.767 0.300
0.774 0.267 0.308
```

Top 6 peaks for 2θ from 10° to 90°, most intense first:
2theta	intensity
28.71	100
11.03	43
43.16	36
38.87	35
52.66	18
70.37	18

---

(2)
Rb2ZrPdSe4: simulated X-ray diffraction stick pattern (Cu Kα), based on a DFT-relaxed cell (GGA-PBE, Alexandria).
No peak broadening, texture or thermal motion is included.

Crystal structure
```
Rb2ZrPdSe4
1.0
0.000 7.111 12.657
3.106 0.000 12.657
3.106 7.111 0.000
Rb Zr Pd Se
4 2 2 8
direct
0.055 0.055 0.695
0.305 0.305 0.945
0.695 0.695 0.055
0.945 0.945 0.305
0.125 0.125 0.125
0.875 0.875 0.875
0.375 0.375 0.375
0.625 0.625 0.625
0.032 0.328 0.424
0.283 0.576 0.672
0.328 0.032 0.717
0.424 0.717 0.032
0.576 0.283 0.968
0.672 0.968 0.283
0.717 0.424 0.328
0.968 0.672 0.576
```

Top 6 peaks for 2θ from 10° to 90°, most intense first:
2theta	intensity
25.89	100
29.56	74
13.99	60
24.53	59
14.29	56
35.91	55

---

(3)
Rb3Zr3PdSe8: simulated X-ray diffraction stick pattern (Cu Kα), based on a DFT-relaxed cell (GGA-PBE, Alexandria).
No peak broadening, texture or thermal motion is included.

Crystal structure
```
Rb3Zr3PdSe8
1.0
7.107 -3.786 0.000
7.107 3.786 0.000
-4.990 0.000 8.076
Rb Zr Pd Se
3 3 1 8
direct
0.000 0.000 0.000
0.000 0.500 0.000
0.500 0.000 0.000
0.000 0.500 0.500
0.500 0.000 0.500
0.500 0.500 0.500
0.000 0.000 0.500
0.212 0.747 0.674
0.253 0.788 0.326
0.270 0.270 0.307
0.282 0.282 0.721
0.718 0.718 0.279
0.730 0.730 0.693
0.747 0.212 0.674
0.788 0.253 0.326
```

Top 6 peaks for 2θ from 10° to 90°, most intense first:
2theta	intensity
30.36	100
29.55	57
10.96	56
40.49	35
45.16	31
37.13	19

---

(4)
RbSn2Pd2: simulated X-ray diffraction stick pattern (Cu Kα), based on a DFT-relaxed cell (GGA-PBE, Alexandria).
No peak broadening, texture or thermal motion is included.

Crystal structure
```
RbSn2Pd2
1.0
7.102 0.000 0.000
-2.851 6.524 0.000
-1.905 -3.379 6.385
Rb Sn Pd
2 4 4
direct
0.096 0.346 0.250
0.904 0.654 0.750
0.285 0.324 0.790
0.467 0.005 0.290
0.533 0.995 0.710
0.715 0.676 0.210
0.164 0.957 0.441
0.484 0.776 0.940
0.516 0.224 0.060
0.836 0.043 0.559
```

Top 6 peaks for 2θ from 10° to 90°, most intense first:
2theta	intensity
15.40	100
32.37	89
33.53	82
15.14	81
26.82	66
27.38	62